Computed powder X-ray diffraction pattern of Fe2Ir7Os2 for Cu Ka, from a DFT-relaxed cell (GGA-PBE, Alexandria).

Structure:
Unit cell a=5.0935 b=5.0935 c=6.3603 alpha=97.23 beta=97.23 gamma=90.46
Atoms (fractional coordinates):
Fe 0.0919 0.0919 0.3644
Fe 0.9081 0.9081 0.6356
Ir 0.0037 0.5829 0.3146
Ir 0.1892 0.1892 0.0171
Ir 0.4171 0.9963 0.6854
Ir 0.5000 0.5000 0.5000
Ir 0.5829 0.0037 0.3146
Ir 0.8108 0.8108 0.9829
Ir 0.9963 0.4171 0.6854
Os 0.3240 0.6760 0.0000
Os 0.6760 0.3240 0.0000

The 8 most intense peaks (15° ≤ 2θ ≤ 90°), by angle:
| two_theta | intensity |
| --- | --- |
| 34.75 | 37 |
| 38.03 | 38 |
| 40.18 | 100 |
| 40.31 | 39 |
| 41.33 | 75 |
| 43.05 | 45 |
| 43.38 | 39 |
| 77.47 | 29 |



Computed powder X-ray diffraction pattern of Fe3Ir12Os4 for Cu Ka, from a DFT-relaxed cell (GGA-PBE, Alexandria).

Structure:
Unit cell a=8.0125 b=8.0125 c=8.0125 alpha=109.47 beta=109.47 gamma=109.47
Atoms (fractional coordinates):
Fe 0.0000 0.5000 0.5000
Fe 0.5000 0.0000 0.5000
Fe 0.5000 0.5000 0.0000
Ir 0.0869 0.7268 0.3601
Ir 0.2732 0.3601 0.6332
Ir 0.2732 0.6399 0.9131
Ir 0.3601 0.0869 0.7268
Ir 0.3601 0.6332 0.2732
Ir 0.3668 0.7268 0.6399
Ir 0.6332 0.2732 0.3601
Ir 0.6399 0.3668 0.7268
Ir 0.6399 0.9131 0.2732
Ir 0.7268 0.3601 0.0869
Ir 0.7268 0.6399 0.3668
Ir 0.9131 0.2732 0.6399
Os 0.0000 0.0000 0.5000
Os 0.0000 0.5000 0.0000
Os 0.5000 0.0000 0.0000
Os 0.5000 0.5000 0.5000

The 8 most intense peaks (15° ≤ 2θ ≤ 90°), by angle:
| two_theta | intensity |
| --- | --- |
| 19.19 | 38 |
| 23.55 | 50 |
| 36.33 | 57 |
| 41.40 | 39 |
| 43.76 | 100 |
| 48.18 | 81 |
| 50.28 | 43 |
| 77.15 | 38 |